Starting from a DFT-relaxed cell (PBE+U, Alexandria), the PXRD pattern of LiVPO5 was computed for λ = 1.5418 Å (Cu Kα).
Lines closer than 0.1° are merged.

Crystal structure
a = 5.143 Å, b = 5.967 Å, c = 8.002 Å
α = 68.26°, β = 79.68°, γ = 89.58°
Fractional positions:
Li: 0.000 0.000 0.000
Li: 0.112 0.269 0.455
V: 0.552 0.375 0.720
V: 0.552 0.913 0.732
P: 0.318 0.493 0.006
P: 0.786 0.777 0.449
O: 0.221 0.314 0.926
O: 0.226 0.759 0.910
O: 0.277 0.409 0.208
O: 0.386 0.167 0.619
O: 0.483 0.728 0.556
O: 0.620 0.552 0.891
O: 0.711 0.047 0.844
O: 0.840 0.889 0.247
O: 0.877 0.943 0.549
O: 0.882 0.513 0.535

Peak list (10 most intense, 2θ = 5–70°, low angle first)
- hkl 0 0 1, 12.13°, rel. 100
- hkl 1 0 0, 17.56°, rel. 32
- hkl 1 0 1, 19.38°, rel. 100
- hkl 1 1 1, 22.92°, rel. 13
- hkl 1 -1 0, 23.07°, rel. 14
- hkl 0 1 2, 23.60°, rel. 20
- hkl 0 2 0, 32.42°, rel. 18
- hkl 2 0 -1, 39.93°, rel. 13
- hkl 1 -2 1, 40.97°, rel. 31
- hkl 1 2 4, 49.04°, rel. 15